Theoretical PXRD pattern
Compound: RbCaTlI4
Radiation: Cu Kα (λ = 1.5418 Å)
Structure: a PBE-relaxed structure
Peak positions follow from Bragg's law for the DFT cell and can differ from measured ones.

Principal peaks in the range 2θ = 5–70°, by intensity:
- 28.5°, rel. 100
- 29.1°, rel. 100
- 22.7°, rel. 91
- 42.0°, rel. 50
- 51.2°, rel. 45
- 41.6°, rel. 37
- 20.4°, rel. 37
- 29.7°, rel. 32
- 28.7°, rel. 30
- 51.9°, rel. 27

Structure:
```
RbCaTlI4
1.0
-3.071 3.071 9.034
3.071 -3.071 9.034
3.071 3.071 -9.034
Rb Ca Tl I
1 1 1 4
direct
0.000 0.000 0.000
0.365 0.365 0.000
0.725 0.725 0.000
0.196 0.196 0.000
0.364 0.864 0.500
0.539 0.539 0.000
0.864 0.364 0.500
```


Theoretical PXRD pattern
Compound: TlFePt6
Radiation: Cu Kα (λ = 1.5418 Å)
Structure: a PBE-relaxed structure
Peak positions follow from Bragg's law for the DFT cell and can differ from measured ones.

Principal peaks in the range 2θ = 5–70°, by intensity:
- 38.9°, rel. 100
- 45.4°, rel. 33
- 65.7°, rel. 20
- 44.9°, rel. 15
- 66.1°, rel. 11
- 33.6°, rel. 4
- 66.7°, rel. 3
- 24.9°, rel. 3
- 33.3°, rel. 3
- 57.4°, rel. 3

Structure:
```
TlFePt6
1.0
3.998 0.000 0.000
0.000 3.998 0.000
0.000 0.000 8.073
Tl Fe Pt
1 1 6
direct
0.000 0.000 0.000
0.000 0.000 0.500
0.000 0.500 0.268
0.000 0.500 0.732
0.500 0.000 0.268
0.500 0.000 0.732
0.500 0.500 0.000
0.500 0.500 0.500
```


Theoretical PXRD pattern
Compound: NdYTm2
Radiation: Cu Kα (λ = 1.5418 Å)
Structure: a PBE-relaxed structure
Peak positions follow from Bragg's law for the DFT cell and can differ from measured ones.

Principal peaks in the range 2θ = 5–70°, by intensity:
- 32.6°, rel. 100
- 31.6°, rel. 24
- 28.4°, rel. 24
- 60.6°, rel. 22
- 56.9°, rel. 20
- 50.3°, rel. 20
- 61.2°, rel. 16
- 43.0°, rel. 16
- 12.2°, rel. 4
- 68.3°, rel. 3

Structure:
```
NdYTm2
1.0
6.278 0.000 0.000
0.000 7.262 0.000
-0.006 0.000 11.321
Nd Y Tm
4 4 8
direct
0.166 0.247 0.378
0.166 0.753 0.878
0.834 0.247 0.122
0.834 0.753 0.622
0.332 0.500 0.125
0.332 0.500 0.625
0.668 0.500 0.375
0.668 0.500 0.875
0.168 0.247 0.873
0.168 0.753 0.373
0.336 0.001 0.625
0.336 0.999 0.125
0.664 0.001 0.875
0.664 0.999 0.375
0.832 0.247 0.627
0.832 0.753 0.127
```